Calculated powder X-ray diffraction pattern of Na2W2O7 for Cu Kα, 1.54184 Å, from the GGA+U geometry in Alexandria.
Lines closer than 0.1° are merged.

Largest 10 diffraction maxima, sorted by position, 2θ from 10° to 90°:
2theta  d [Å]  Rel. int.
20.65  4.301  100
23.17  3.839  66
25.32  3.518  45
29.80  2.999  24
32.36  2.766  26
32.61  2.746  82
37.61  2.392  19
46.70  1.945  27
50.44  1.809  29
58.36  1.581  23

Cell and atoms:
Unit cell a=13.8119 b=13.8119 c=5.5327 alpha=90.00 beta=90.00 gamma=163.86
Atoms (fractional coordinates):
Na 0.0538 0.9462 0.5000
Na 0.2169 0.7831 0.0301
Na 0.7831 0.2169 0.5301
Na 0.9462 0.0538 0.0000
W 0.3418 0.6582 0.0136
W 0.4473 0.5527 0.5060
W 0.5527 0.4473 0.0060
W 0.6582 0.3418 0.5136
O 0.0468 0.9532 0.0061
O 0.1461 0.8539 0.5032
O 0.2924 0.7076 0.7977
O 0.3058 0.6942 0.2838
O 0.3956 0.6044 0.7225
O 0.4093 0.5907 0.2222
O 0.4927 0.5073 0.7916
O 0.5073 0.4927 0.2916
O 0.5907 0.4093 0.7222
O 0.6044 0.3956 0.2225
O 0.6942 0.3058 0.7838
O 0.7076 0.2924 0.2977
O 0.8539 0.1461 0.0032
O 0.9532 0.0468 0.5061